Record 1
Theoretical PXRD pattern
Compound: AgHg3SbO6
Radiation: Cu Kα (λ = 1.5418 Å)
Structure: a crystal structure in the Materials Project, relaxed with PBE
Neutral-atom scattering factors, no anomalous dispersion.

The 6 most intense peaks (2θ = 10–90°), by angle:
2θ 27.60, d = 3.232 Å, I = 100; 2θ 31.30, d = 2.857 Å, I = 83; 2θ 42.21, d = 2.141 Å, I = 32; 2θ 53.48, d = 1.713 Å, I = 30; 2θ 55.72, d = 1.650 Å, I = 20; 2θ 72.35, d = 1.306 Å, I = 21

Atomic structure:
abc: 7.133 7.133 7.133
angles: 87.87 87.87 87.87
Fractional positions:
Ag (0.250, 0.250, 0.250)
Ag (0.750, 0.750, 0.750)
Hg (0.097, 0.750, 0.403)
Hg (0.250, 0.597, 0.903)
Hg (0.403, 0.097, 0.750)
Hg (0.597, 0.903, 0.250)
Hg (0.750, 0.403, 0.097)
Hg (0.903, 0.250, 0.597)
Sb (0.000, 0.000, 0.000)
Sb (0.500, 0.500, 0.500)
O (0.001, 0.285, 0.996)
O (0.004, 0.999, 0.715)
O (0.215, 0.499, 0.504)
O (0.285, 0.996, 0.001)
O (0.496, 0.785, 0.501)
O (0.499, 0.504, 0.215)
O (0.501, 0.496, 0.785)
O (0.504, 0.215, 0.499)
O (0.715, 0.004, 0.999)
O (0.785, 0.501, 0.496)
O (0.996, 0.001, 0.285)
O (0.999, 0.715, 0.004)



Record 2
Theoretical PXRD pattern
Compound: Na3LaB2O6
Radiation: Cu Kα (λ = 1.5418 Å)
Structure: a crystal structure in the Materials Project, relaxed with PBE
Neutral-atom scattering factors, no anomalous dispersion.

The 6 most intense peaks (2θ = 10–90°), by angle:
2θ 13.04, d = 6.792 Å, I = 74; 2θ 15.50, d = 5.715 Å, I = 100; 2θ 18.65, d = 4.758 Å, I = 68; 2θ 21.60, d = 4.114 Å, I = 79; 2θ 23.88, d = 3.726 Å, I = 81; 2θ 34.63, d = 2.590 Å, I = 69

Atomic structure:
abc: 6.751 8.956 12.307
angles: 90.00 122.16 90.00
Fractional positions:
Na (0.082, 0.189, 0.103)
Na (0.082, 0.311, 0.603)
Na (0.113, 0.063, 0.393)
Na (0.113, 0.437, 0.893)
Na (0.318, 0.737, 0.842)
Na (0.318, 0.763, 0.342)
Na (0.682, 0.237, 0.658)
Na (0.682, 0.263, 0.158)
Na (0.887, 0.563, 0.107)
Na (0.887, 0.937, 0.607)
Na (0.918, 0.689, 0.397)
Na (0.918, 0.811, 0.897)
La (0.485, 0.613, 0.645)
La (0.485, 0.887, 0.145)
La (0.515, 0.113, 0.855)
La (0.515, 0.387, 0.355)
B (0.082, 0.099, 0.861)
B (0.082, 0.401, 0.361)
B (0.370, 0.568, 0.125)
B (0.370, 0.932, 0.625)
B (0.630, 0.068, 0.375)
B (0.630, 0.432, 0.875)
B (0.918, 0.599, 0.639)
B (0.918, 0.901, 0.139)
O (0.113, 0.601, 0.631)
O (0.113, 0.899, 0.131)
O (0.120, 0.211, 0.795)
O (0.120, 0.289, 0.295)
O (0.246, 0.518, 0.415)
O (0.246, 0.982, 0.915)
O (0.301, 0.080, 0.616)
O (0.301, 0.420, 0.116)
O (0.323, 0.651, 0.019)
O (0.323, 0.849, 0.519)
O (0.488, 0.636, 0.247)
O (0.488, 0.864, 0.747)
O (0.512, 0.136, 0.253)
O (0.512, 0.364, 0.753)
O (0.677, 0.151, 0.481)
O (0.677, 0.349, 0.981)
O (0.699, 0.580, 0.884)
O (0.699, 0.920, 0.384)
O (0.754, 0.018, 0.085)
O (0.754, 0.482, 0.585)
O (0.880, 0.711, 0.705)
O (0.880, 0.789, 0.205)
O (0.887, 0.101, 0.869)
O (0.887, 0.399, 0.369)



Record 3
Theoretical PXRD pattern
Compound: CaEu4O5
Radiation: Cu Kα (λ = 1.5418 Å)
Structure: a crystal structure in the Materials Project, relaxed with PBE
Neutral-atom scattering factors, no anomalous dispersion.

The 6 most intense peaks (2θ = 10–90°), by angle:
2θ 30.70, d = 2.912 Å, I = 100; 2θ 35.60, d = 2.522 Å, I = 84; 2θ 51.23, d = 1.783 Å, I = 57; 2θ 60.92, d = 1.521 Å, I = 45; 2θ 83.55, d = 1.157 Å, I = 19; 2θ 86.24, d = 1.128 Å, I = 25

Atomic structure:
abc: 6.177 6.177 6.177
angles: 99.61 99.61 131.76
Fractional positions:
Ca (0.000, 0.000, 0.000)
Eu (0.201, 0.600, 0.800)
Eu (0.400, 0.201, 0.601)
Eu (0.600, 0.799, 0.399)
Eu (0.799, 0.400, 0.200)
O (0.098, 0.293, 0.391)
O (0.293, 0.902, 0.194)
O (0.500, 0.500, 0.000)
O (0.707, 0.098, 0.806)
O (0.902, 0.707, 0.609)



Record 4
Theoretical PXRD pattern
Compound: Eu2TlZn
Radiation: Cu Kα (λ = 1.5418 Å)
Structure: a crystal structure in the Materials Project, relaxed with PBE
Neutral-atom scattering factors, no anomalous dispersion.

The 6 most intense peaks (2θ = 10–90°), by angle:
2θ 19.79, d = 4.486 Å, I = 11; 2θ 32.60, d = 2.747 Å, I = 100; 2θ 46.77, d = 1.942 Å, I = 18; 2θ 58.17, d = 1.586 Å, I = 38; 2θ 68.29, d = 1.373 Å, I = 12; 2θ 77.74, d = 1.228 Å, I = 16

Atomic structure:
abc: 7.769 7.769 7.769
angles: 90.00 90.00 90.00
Fractional positions:
Eu (0.250, 0.250, 0.250)
Eu (0.250, 0.250, 0.750)
Eu (0.250, 0.750, 0.250)
Eu (0.250, 0.750, 0.750)
Eu (0.750, 0.250, 0.250)
Eu (0.750, 0.250, 0.750)
Eu (0.750, 0.750, 0.250)
Eu (0.750, 0.750, 0.750)
Tl (0.000, 0.000, 0.000)
Tl (0.000, 0.500, 0.500)
Tl (0.500, 0.000, 0.500)
Tl (0.500, 0.500, 0.000)
Zn (0.000, 0.000, 0.500)
Zn (0.000, 0.500, 0.000)
Zn (0.500, 0.000, 0.000)
Zn (0.500, 0.500, 0.500)



Record 5
Theoretical PXRD pattern
Compound: HoBi
Radiation: Cu Kα (λ = 1.5418 Å)
Structure: a crystal structure in the Materials Project, relaxed with PBE
Neutral-atom scattering factors, no anomalous dispersion.

The 6 most intense peaks (2θ = 10–90°), by angle:
2θ 28.29, d = 3.154 Å, I = 100; 2θ 40.44, d = 2.230 Å, I = 78; 2θ 50.09, d = 1.821 Å, I = 28; 2θ 58.52, d = 1.577 Å, I = 13; 2θ 66.25, d = 1.411 Å, I = 37; 2θ 73.55, d = 1.288 Å, I = 28

Atomic structure:
abc: 6.309 6.309 6.309
angles: 90.00 90.00 90.00
Fractional positions:
Ho (0.000, 0.000, 0.000)
Ho (0.000, 0.500, 0.500)
Ho (0.500, 0.000, 0.500)
Ho (0.500, 0.500, 0.000)
Bi (0.000, 0.000, 0.500)
Bi (0.000, 0.500, 0.000)
Bi (0.500, 0.000, 0.000)
Bi (0.500, 0.500, 0.500)



Record 6
Theoretical PXRD pattern
Compound: Ba2CuF6
Radiation: Cu Kα (λ = 1.5418 Å)
Structure: a crystal structure in the Materials Project, relaxed with PBE
Neutral-atom scattering factors, no anomalous dispersion.

The 6 most intense peaks (2θ = 10–90°), by angle:
2θ 26.99, d = 3.303 Å, I = 100; 2θ 29.92, d = 2.986 Å, I = 38; 2θ 37.67, d = 2.388 Å, I = 33; 2θ 42.83, d = 2.111 Å, I = 33; 2θ 45.77, d = 1.982 Å, I = 20; 2θ 51.36, d = 1.779 Å, I = 34

Atomic structure:
abc: 8.495 8.495 8.495
angles: 151.22 151.22 41.16
Fractional positions:
Ba (0.149, 0.149, 0.000)
Ba (0.851, 0.851, 0.000)
Cu (0.500, 0.500, 0.000)
F (0.000, 0.500, 0.500)
F (0.250, 0.750, 0.500)
F (0.380, 0.380, 0.000)
F (0.500, 0.000, 0.500)
F (0.620, 0.620, 0.000)
F (0.750, 0.250, 0.500)



Record 7
Theoretical PXRD pattern
Compound: Sr2RhF7
Radiation: Cu Kα (λ = 1.5418 Å)
Structure: a crystal structure in the Materials Project, relaxed with PBE
Neutral-atom scattering factors, no anomalous dispersion.

The 6 most intense peaks (2θ = 10–90°), by angle:
2θ 25.51, d = 3.492 Å, I = 91; 2θ 25.91, d = 3.439 Å, I = 46; 2θ 27.00, d = 3.302 Å, I = 65; 2θ 27.64, d = 3.227 Å, I = 100; 2θ 31.86, d = 2.809 Å, I = 51; 2θ 41.74, d = 2.164 Å, I = 55

Atomic structure:
abc: 5.619 11.828 8.806
angles: 90.00 90.90 90.00
Fractional positions:
Sr (0.223, 0.058, 0.153)
Sr (0.223, 0.442, 0.653)
Sr (0.232, 0.707, 0.052)
Sr (0.232, 0.793, 0.552)
Sr (0.768, 0.207, 0.448)
Sr (0.768, 0.293, 0.948)
Sr (0.777, 0.558, 0.347)
Sr (0.777, 0.942, 0.847)
Rh (0.311, 0.132, 0.681)
Rh (0.311, 0.368, 0.181)
Rh (0.689, 0.632, 0.819)
Rh (0.689, 0.868, 0.319)
F (0.011, 0.226, 0.715)
F (0.011, 0.274, 0.215)
F (0.107, 0.606, 0.509)
F (0.107, 0.894, 0.009)
F (0.133, 0.516, 0.177)
F (0.133, 0.984, 0.677)
F (0.235, 0.164, 0.462)
F (0.235, 0.336, 0.962)
F (0.385, 0.555, 0.871)
F (0.385, 0.945, 0.371)
F (0.416, 0.101, 0.898)
F (0.416, 0.399, 0.398)
F (0.490, 0.723, 0.311)
F (0.490, 0.777, 0.811)
F (0.510, 0.223, 0.189)
F (0.510, 0.277, 0.689)
F (0.584, 0.601, 0.602)
F (0.584, 0.899, 0.102)
F (0.615, 0.055, 0.629)
F (0.615, 0.445, 0.129)
F (0.765, 0.664, 0.038)
F (0.765, 0.836, 0.538)
F (0.867, 0.016, 0.323)
F (0.867, 0.484, 0.823)
F (0.893, 0.106, 0.991)
F (0.893, 0.394, 0.491)
F (0.989, 0.726, 0.785)
F (0.989, 0.774, 0.285)



Record 8
Theoretical PXRD pattern
Compound: Er6Mn23
Radiation: Cu Kα (λ = 1.5418 Å)
Structure: a crystal structure in the Materials Project, relaxed with PBE
Neutral-atom scattering factors, no anomalous dispersion.

The 6 most intense peaks (2θ = 10–90°), by angle:
2θ 25.81, d = 3.452 Å, I = 32; 2θ 32.64, d = 2.743 Å, I = 31; 2θ 36.82, d = 2.441 Å, I = 36; 2θ 39.14, d = 2.301 Å, I = 100; 2θ 42.78, d = 2.114 Å, I = 93; 2θ 66.33, d = 1.409 Å, I = 28

Atomic structure:
abc: 8.456 8.456 8.456
angles: 60.00 60.00 60.00
Fractional positions:
Er (0.205, 0.205, 0.795)
Er (0.205, 0.795, 0.205)
Er (0.205, 0.795, 0.795)
Er (0.795, 0.205, 0.205)
Er (0.795, 0.205, 0.795)
Er (0.795, 0.795, 0.205)
Mn (0.000, 0.000, 0.500)
Mn (0.000, 0.500, 0.000)
Mn (0.000, 0.500, 0.500)
Mn (0.135, 0.622, 0.622)
Mn (0.177, 0.177, 0.177)
Mn (0.177, 0.177, 0.469)
Mn (0.177, 0.469, 0.177)
Mn (0.378, 0.378, 0.378)
Mn (0.378, 0.378, 0.865)
Mn (0.378, 0.865, 0.378)
Mn (0.469, 0.177, 0.177)
Mn (0.500, 0.000, 0.000)
Mn (0.500, 0.000, 0.500)
Mn (0.500, 0.500, 0.000)
Mn (0.500, 0.500, 0.500)
Mn (0.531, 0.823, 0.823)
Mn (0.622, 0.135, 0.622)
Mn (0.622, 0.622, 0.135)
Mn (0.622, 0.622, 0.622)
Mn (0.823, 0.531, 0.823)
Mn (0.823, 0.823, 0.531)
Mn (0.823, 0.823, 0.823)
Mn (0.865, 0.378, 0.378)



Record 9
Theoretical PXRD pattern
Compound: CaTe
Radiation: Cu Kα (λ = 1.5418 Å)
Structure: a crystal structure in the Materials Project, relaxed with PBE
Neutral-atom scattering factors, no anomalous dispersion.

The 6 most intense peaks (2θ = 10–90°), by angle:
2θ 24.10, d = 3.693 Å, I = 45; 2θ 27.89, d = 3.199 Å, I = 100; 2θ 39.86, d = 2.262 Å, I = 75; 2θ 49.35, d = 1.847 Å, I = 26; 2θ 65.22, d = 1.430 Å, I = 33; 2θ 72.37, d = 1.306 Å, I = 24

Atomic structure:
abc: 6.397 6.397 6.397
angles: 90.00 90.00 90.00
Fractional positions:
Ca (0.000, 0.000, 0.000)
Ca (0.000, 0.500, 0.500)
Ca (0.500, 0.000, 0.500)
Ca (0.500, 0.500, 0.000)
Te (0.000, 0.000, 0.500)
Te (0.000, 0.500, 0.000)
Te (0.500, 0.000, 0.000)
Te (0.500, 0.500, 0.500)